Simulated X-ray powder pattern
Compound: CaMnSiHO5
Radiation: Cu Kα (weighted mean of Kα1 and Kα2)
Structure: a crystal structure in the Materials Project, relaxed with GGA+U
Peak positions follow from Bragg's law for the DFT cell and can differ from measured ones.

Principal peaks in the range 10 to 90 degrees two-theta, in order of rising 2θ:
15.76 deg, 5.623 Å, rel. 78; 24.32 deg, 3.660 Å, rel. 35; 28.63 deg, 3.118 Å, rel. 69; 32.96 deg, 2.717 Å, rel. 70; 34.10 deg, 2.629 Å, rel. 100; 35.31 deg, 2.542 Å, rel. 36; 36.35 deg, 2.472 Å, rel. 34; 39.02 deg, 2.308 Å, rel. 29; 40.40 deg, 2.233 Å, rel. 28; 54.31 deg, 1.689 Å, rel. 27; 58.18 deg, 1.586 Å, rel. 44; 62.75 deg, 1.481 Å, rel. 32

Atomic structure:
Lattice parameters (Å, degrees): 5.949 7.321 8.779 90.00 90.00 90.00
Element x y z (fractional)
Ca  0.020  0.122  0.323
Ca  0.480  0.878  0.823
Ca  0.520  0.378  0.677
Ca  0.980  0.622  0.177
Mn  0.246  0.257  0.996
Mn  0.254  0.743  0.496
Mn  0.746  0.243  0.004
Mn  0.754  0.757  0.504
Si  0.012  0.634  0.819
Si  0.488  0.366  0.319
Si  0.512  0.866  0.181
Si  0.988  0.134  0.681
H  0.026  0.930  0.977
H  0.474  0.070  0.477
H  0.526  0.570  0.023
H  0.974  0.430  0.523
O  0.003  0.105  0.059
O  0.009  0.959  0.564
O  0.078  0.800  0.942
O  0.226  0.162  0.775
O  0.238  0.626  0.710
O  0.262  0.374  0.210
O  0.274  0.838  0.275
O  0.422  0.200  0.442
O  0.491  0.041  0.064
O  0.497  0.895  0.559
O  0.503  0.395  0.941
O  0.509  0.541  0.436
O  0.578  0.700  0.058
O  0.726  0.338  0.225
O  0.738  0.874  0.290
O  0.762  0.126  0.790
O  0.774  0.662  0.725
O  0.922  0.300  0.558
O  0.991  0.459  0.936
O  0.997  0.605  0.441

***

Simulated X-ray powder pattern
Compound: Ca2Mn2Si4H8O17
Radiation: Cu Kα (weighted mean of Kα1 and Kα2)
Structure: a crystal structure in the Materials Project, relaxed with GGA+U
Peak positions follow from Bragg's law for the DFT cell and can differ from measured ones.

Principal peaks in the range 10 to 90 degrees two-theta, in order of rising 2θ:
17.07 deg, 5.195 Å, rel. 84; 21.03 deg, 4.224 Å, rel. 81; 24.16 deg, 3.683 Å, rel. 36; 28.22 deg, 3.162 Å, rel. 100; 29.99 deg, 2.980 Å, rel. 41; 31.93 deg, 2.803 Å, rel. 69; 33.41 deg, 2.682 Å, rel. 35; 34.09 deg, 2.630 Å, rel. 38; 34.53 deg, 2.597 Å, rel. 70; 35.20 deg, 2.549 Å, rel. 43; 37.90 deg, 2.374 Å, rel. 48; 55.12 deg, 1.666 Å, rel. 40

Atomic structure:
Lattice parameters (Å, degrees): 5.544 5.544 12.099 91.23 91.23 69.57
Element x y z (fractional)
Ca  0.206  0.206  0.263
Ca  0.794  0.794  0.737
Mn  0.471  0.014  0.997
Mn  0.986  0.529  0.003
Si  0.368  0.422  0.604
Si  0.449  0.474  0.847
Si  0.526  0.551  0.153
Si  0.578  0.632  0.396
H  0.013  0.115  0.902
H  0.027  0.222  0.669
H  0.196  0.029  0.756
H  0.526  0.036  0.517
H  0.778  0.973  0.331
H  0.885  0.987  0.098
H  0.964  0.474  0.483
H  0.971  0.804  0.244
O  0.032  0.072  0.716
O  0.062  0.481  0.612
O  0.107  0.168  0.961
O  0.139  0.609  0.870
O  0.372  0.381  0.093
O  0.391  0.861  0.130
O  0.432  0.568  0.500
O  0.472  0.512  0.287
O  0.488  0.528  0.713
O  0.519  0.938  0.388
O  0.535  0.107  0.595
O  0.552  0.160  0.862
O  0.619  0.628  0.907
O  0.832  0.893  0.039
O  0.840  0.448  0.138
O  0.893  0.465  0.405
O  0.928  0.968  0.284

***

Which formula does entry 2 have?
Ca2Mn2Si4H8O17